Simulated powder XRD pattern
Compound: NiMo7
Radiation: copper Kα
Structure: a cell relaxed with PBE
Peak positions follow from Bragg's law for the DFT cell and can differ from measured ones.

Top 8 peaks for 10° ≤ 2θ ≤ 90°, in order of falling intensity:
2θ 39.50, rel. 100, (2 2 2)
2θ 45.93, rel. 48, (4 0 0)
2θ 80.63, rel. 36, (6 2 2)
2θ 66.98, rel. 30, (4 4 0)
2θ 85.03, rel. 11, (4 4 4)
2θ 19.45, rel. 1, (1 1 1)
2θ 37.75, rel. 1, (3 1 1)
2θ 22.50, rel. 1, (2 0 0)

Atomic structure:
```
data_NiMo7
_chemical_formula_sum 'Ni4 Mo28'
_space_group_name_H-M_alt 'F m -3 m'
_space_group_IT_number 225
_space_group_name_Hall '-F 4 2 3'
_cell_length_a 7.9037
_cell_length_b 7.9037
_cell_length_c 7.9037
_cell_angle_alpha 90.00
_cell_angle_beta 90.00
_cell_angle_gamma 90.00
loop_
_atom_site_label
_atom_site_type_symbol
_atom_site_fract_x
_atom_site_fract_y
_atom_site_fract_z
_atom_site_occupancy
Ni1 Ni 0.0000 0.0000 0.0000 1
Mo1 Mo 0.0000 0.0000 0.5000 1
Mo2 Mo 0.0000 0.2500 0.2500 1
```